(1)
Diffraction record for Ba2DyGaSe5. The powder diffractogram is calculated, not measured: it uses a PBE-relaxed structure and Cu Kα (weighted mean of Kα1 and Kα2).

Top 12 peaks for 10 to 80 degrees two-theta, in order of rising 2θ:
two_theta  d (Å)  I_rel
18.99  4.672  48
27.74  3.216  96
27.84  3.205  91
29.04  3.075  89
29.97  2.981  91
30.14  2.965  91
30.42  2.938  73
34.82  2.577  50
35.01  2.563  49
40.68  2.218  62
41.16  2.193  100
51.24  1.783  52

```
Ba2DyGaSe5
1.0
7.4225 0.0000 0.0000
-2.6218 8.3729 0.0000
-2.1595 -3.0098 8.8143
Ba Dy Ga Se
4 2 2 10
Direct
0.1315 0.4775 0.2882
0.1538 0.9873 0.2909
0.8462 0.0127 0.7091
0.8685 0.5225 0.7118
0.4977 0.2300 0.9980
0.5023 0.7700 0.0020
0.3100 0.3735 0.6888
0.6900 0.6265 0.3112
0.0059 0.7565 0.5058
0.2079 0.9113 0.9452
0.2149 0.4091 0.9264
0.4893 0.6557 0.6907
0.4910 0.1839 0.6873
0.5090 0.8161 0.3127
0.5107 0.3443 0.3093
0.7851 0.5909 0.0736
0.7921 0.0887 0.0548
0.9941 0.2435 0.4942
```

(2)
Diffraction record for Ba2DyHfS6. The powder diffractogram is calculated, not measured: it uses a PBE-relaxed structure and Cu Kα (weighted mean of Kα1 and Kα2).

Top 12 peaks for 10 to 80 degrees two-theta, in order of rising 2θ:
two_theta  d (Å)  I_rel
17.26  5.139  8
24.50  3.634  100
30.12  2.967  2
34.92  2.569  45
39.20  2.298  4
43.12  2.098  46
50.22  1.817  31
56.64  1.625  21
62.62  1.483  11
68.30  1.373  24
73.75  1.285  5
79.06  1.211  12

```
Ba2DyHfS6
1.0
7.2670 0.0000 0.0000
0.0000 10.2751 0.0000
0.0000 0.0000 7.2686
Ba Dy Hf S
4 2 2 12
Direct
0.2500 0.0002 0.2492
0.2500 0.4998 0.2492
0.7500 0.9998 0.7508
0.7500 0.5002 0.7508
0.2500 0.2500 0.7493
0.7500 0.7500 0.2507
0.2500 0.7500 0.7505
0.7500 0.2500 0.2495
0.0064 0.7500 0.5082
0.0074 0.7500 0.9942
0.2500 0.5069 0.7504
0.2500 0.9931 0.7504
0.4926 0.7500 0.9942
0.4936 0.7500 0.5082
0.5064 0.2500 0.4918
0.5074 0.2500 0.0058
0.7500 0.0069 0.2496
0.7500 0.4931 0.2496
0.9926 0.2500 0.0058
0.9936 0.2500 0.4918
```

(3)
Diffraction record for Ba2LiDyHg6. The powder diffractogram is calculated, not measured: it uses a PBE-relaxed structure and Cu Kα (weighted mean of Kα1 and Kα2).

Top 12 peaks for 10 to 80 degrees two-theta, in order of rising 2θ:
two_theta  d (Å)  I_rel
16.22  5.463  16
28.29  3.154  100
32.71  2.737  27
32.82  2.729  54
35.80  2.508  12
47.02  1.933  47
47.19  1.926  9
55.76  1.649  27
55.92  1.644  13
58.45  1.579  9
58.60  1.575  9
78.15  1.223  11

```
Ba2LiDyHg6
1.0
-3.8520 3.8661 5.4747
3.8520 -3.8661 5.4747
3.8520 3.8661 -5.4747
Ba Li Dy Hg
2 1 1 6
Direct
0.2499 0.2499 0.0000
0.7501 0.7501 0.0000
0.5000 0.0000 0.5000
0.0000 0.5000 0.5000
0.2681 0.2312 0.4993
0.2680 0.7680 0.5000
0.2681 0.7688 0.0368
0.7319 0.2312 0.9632
0.7320 0.2320 0.5000
0.7319 0.7688 0.5007
```

(4)
Diffraction record for BaDyInS4. The powder diffractogram is calculated, not measured: it uses a PBE-relaxed structure and Cu Kα (weighted mean of Kα1 and Kα2).

Top 12 peaks for 10 to 80 degrees two-theta, in order of rising 2θ:
two_theta  d (Å)  I_rel
10.87  8.136  35
16.76  5.290  28
18.58  4.775  44
25.36  3.512  37
25.57  3.483  100
27.18  3.281  22
31.82  2.813  67
32.25  2.776  73
33.89  2.645  22
37.68  2.387  44
42.47  2.128  24
49.19  1.852  28

```
BaDyInS4
1.0
6.8673 0.0000 0.0000
0.0000 6.9622 0.0000
-2.5133 0.0000 8.1355
Ba Dy In S
2 2 2 8
Direct
0.2422 0.2500 0.0527
0.7578 0.7500 0.9473
0.2056 0.2500 0.5504
0.7944 0.7500 0.4496
0.2515 0.7500 0.3340
0.7485 0.2500 0.6660
0.0104 0.5088 0.7134
0.0104 0.9912 0.7134
0.4624 0.7500 0.1502
0.4985 0.7500 0.6018
0.5015 0.2500 0.3982
0.5376 0.2500 0.8498
0.9896 0.0088 0.2866
0.9896 0.4912 0.2866
```

(5)
Diffraction record for BaDyInSe4. The powder diffractogram is calculated, not measured: it uses a PBE-relaxed structure and Cu Kα (weighted mean of Kα1 and Kα2).

Top 12 peaks for 10 to 80 degrees two-theta, in order of rising 2θ:
two_theta  d (Å)  I_rel
10.50  8.424  40
17.90  4.955  29
24.48  3.637  70
27.86  3.203  35
30.66  2.916  93
31.19  2.867  100
32.53  2.752  34
36.26  2.477  40
41.00  2.202  34
47.13  1.928  29
47.46  1.916  48
50.19  1.818  26

```
BaDyInSe4
1.0
7.0782 0.0000 0.0000
0.0000 7.2709 0.0000
-2.5707 0.0000 8.4245
Ba Dy In Se
2 2 2 8
Direct
0.2316 0.2500 0.0512
0.7684 0.7500 0.9488
0.2153 0.2500 0.5544
0.7847 0.7500 0.4456
0.2428 0.7500 0.3324
0.7572 0.2500 0.6676
0.0194 0.5143 0.7164
0.0194 0.9857 0.7164
0.4540 0.7500 0.1419
0.4897 0.7500 0.6064
0.5103 0.2500 0.3936
0.5460 0.2500 0.8581
0.9806 0.0143 0.2836
0.9806 0.4857 0.2836
```

(6)
Diffraction record for BaLaDyO4. The powder diffractogram is calculated, not measured: it uses a PBE-relaxed structure and Cu Kα (weighted mean of Kα1 and Kα2).

Top 12 peaks for 10 to 80 degrees two-theta, in order of rising 2θ:
two_theta  d (Å)  I_rel
13.66  6.484  11
28.43  3.140  27
28.95  3.084  100
40.37  2.234  16
41.02  2.200  26
41.80  2.161  7
50.66  1.802  16
51.31  1.781  21
51.64  1.770  5
59.99  1.542  13
67.41  1.389  7
72.41  1.305  5

```
BaLaDyO4
1.0
3.0847 -6.4837 0.0000
3.0847 6.4837 0.0000
0.0000 0.0000 6.2799
Ba La Dy O
2 2 2 8
Direct
0.1044 0.8956 0.7500
0.8956 0.1044 0.2500
0.3883 0.6117 0.7500
0.6117 0.3883 0.2500
0.2505 0.7495 0.2500
0.7495 0.2505 0.7500
0.0000 0.5000 0.0000
0.0000 0.5000 0.5000
0.0838 0.9162 0.2500
0.4448 0.5552 0.2500
0.5000 0.0000 0.0000
0.5000 0.0000 0.5000
0.5552 0.4448 0.7500
0.9162 0.0838 0.7500
```

(7)
Diffraction record for BaLiDyPb. The powder diffractogram is calculated, not measured: it uses a PBE-relaxed structure and Cu Kα (weighted mean of Kα1 and Kα2).

Top 12 peaks for 10 to 80 degrees two-theta, in order of rising 2θ:
two_theta  d (Å)  I_rel
19.11  4.643  35
22.11  4.021  3
31.46  2.843  100
37.07  2.425  21
45.09  2.011  19
49.39  1.845  9
56.02  1.642  40
59.75  1.548  7
65.67  1.422  12
69.09  1.359  7
74.64  1.272  17
77.89  1.226  3

```
BaLiDyPb
1.0
0.0000 4.0213 4.0213
4.0213 0.0000 4.0213
4.0213 4.0213 0.0000
Ba Li Dy Pb
1 1 1 1
Direct
0.0000 0.0000 0.0000
0.7500 0.7500 0.7500
0.5000 0.5000 0.5000
0.2500 0.2500 0.2500
```